Starting from DFT lattice parameters and positions (GGA+U), the powder XRD pattern of TaW2O8 was calculated for Cu Kα (weighted mean of Kα1 and Kα2).
No peak broadening, texture or thermal motion is included.

Atomic structure:
```
TaW2O8
1.0
5.062 0.000 0.000
-1.321 5.130 0.000
-0.281 -2.505 6.747
Ta W O
1 2 8
direct
0.000 0.000 0.000 Ta
0.247 0.453 0.808 W
0.726 0.549 0.177 W
0.100 0.756 0.128 O
0.113 0.719 0.755 O
0.346 0.280 0.586 O
0.367 0.266 0.016 O
0.617 0.706 0.959 O
0.655 0.727 0.407 O
0.880 0.250 0.207 O
0.912 0.196 0.817 O
```

Top 10 peaks for 10 to 80 degrees two-theta, low angle first:
| hkl | Position (°2θ) | d_spacing | I/Imax |
| --- | --- | --- | --- |
| 0 0 1 | 13.1 | 6.747 | 100 |
| 1 -1 0 | 22.1 | 4.022 | 27 |
| 1 0 1 | 23.9 | 3.718 | 57 |
| 0 1 -2 | 26.5 | 3.368 | 20 |
| -1 1 1 | 27.8 | 3.208 | 39 |
| 1 1 -1 | 28.5 | 3.134 | 33 |
| 0 2 -1 | 35.0 | 2.565 | 15 |
| 0 1 -3 | 37.8 | 2.380 | 26 |
| 1 -2 2 | 38.8 | 2.319 | 22 |
| 2 1 0 | 46.3 | 1.960 | 19 |